Diffraction record for Tb3MgS6. The powder X-ray diffraction pattern is calculated, not measured: it uses a PBE-relaxed structure and copper Kα.

Atomic structure:
a = 8.388 Å, b = 8.388 Å, c = 6.741 Å
α = 90.00°, β = 90.00°, γ = 100.34°
Element x y z (fractional)
Tb: 0.101 0.899 0.500
Tb: 0.218 0.420 0.589
Tb: 0.420 0.218 0.089
Tb: 0.580 0.782 0.589
Tb: 0.782 0.580 0.089
Tb: 0.899 0.101 0.000
Mg: 0.302 0.698 0.113
Mg: 0.698 0.302 0.613
S: 0.058 0.598 0.310
S: 0.131 0.196 0.292
S: 0.196 0.131 0.792
S: 0.274 0.726 0.754
S: 0.402 0.942 0.310
S: 0.469 0.531 0.295
S: 0.531 0.469 0.795
S: 0.598 0.058 0.810
S: 0.726 0.274 0.254
S: 0.804 0.869 0.292
S: 0.869 0.804 0.792
S: 0.942 0.402 0.810

Top 8 peaks for 10 to 80 degrees two-theta, in order of rising 2θ:
16.98 deg, rel. 53; 25.31 deg, rel. 100; 25.82 deg, rel. 25; 25.96 deg, rel. 57; 35.24 deg, rel. 30; 37.29 deg, rel. 55; 38.67 deg, rel. 44; 43.25 deg, rel. 37

---

Diffraction record for Ga3Ag3Bi. The powder X-ray diffraction pattern is calculated, not measured: it uses a PBE-relaxed structure and copper Kα.

Atomic structure:
a = 7.209 Å, b = 7.209 Å, c = 7.209 Å
α = 90.00°, β = 90.00°, γ = 90.00°
Element x y z (fractional)
Ga: 0.000 0.250 0.500
Ga: 0.000 0.750 0.500
Ga: 0.250 0.500 0.000
Ga: 0.500 0.000 0.250
Ga: 0.500 0.000 0.750
Ga: 0.750 0.500 0.000
Ag: 0.000 0.500 0.250
Ag: 0.000 0.500 0.750
Ag: 0.250 0.000 0.500
Ag: 0.500 0.250 0.000
Ag: 0.500 0.750 0.000
Ag: 0.750 0.000 0.500
Bi: 0.000 0.000 0.000
Bi: 0.500 0.500 0.500

Top 8 peaks for 10 to 80 degrees two-theta, in order of rising 2θ:
24.70 deg, rel. 42; 30.37 deg, rel. 100; 47.17 deg, rel. 59; 50.65 deg, rel. 22; 57.14 deg, rel. 17; 60.21 deg, rel. 14; 71.71 deg, rel. 17; 74.45 deg, rel. 14

---

Diffraction record for HPdS4. The powder X-ray diffraction pattern is calculated, not measured: it uses a PBE-relaxed structure and copper Kα.

Atomic structure:
a = 3.658 Å, b = 7.256 Å, c = 8.701 Å
α = 84.04°, β = 79.00°, γ = 89.47°
Element x y z (fractional)
H: 0.069 0.323 0.438
H: 0.931 0.677 0.562
Pd: 0.000 0.000 0.000
Pd: 0.500 0.500 0.000
S: 0.038 0.689 0.908
S: 0.286 0.742 0.537
S: 0.420 0.954 0.187
S: 0.429 0.691 0.300
S: 0.571 0.309 0.700
S: 0.580 0.046 0.813
S: 0.714 0.258 0.463
S: 0.962 0.311 0.092

Top 8 peaks for 10 to 80 degrees two-theta, in order of rising 2θ:
10.41 deg, rel. 100; 20.92 deg, rel. 20; 25.80 deg, rel. 26; 27.86 deg, rel. 34; 28.32 deg, rel. 20; 30.81 deg, rel. 13; 32.72 deg, rel. 14; 49.86 deg, rel. 15